Starting from a DFT-relaxed cell (GGA-PBE, the Materials Project), the X-ray powder pattern of LuSi was calculated for λ = 1.5418 Å (Cu Kα).

Structural model:
a = 4.166 Å, b = 10.306 Å, c = 3.768 Å
α = 90.00°, β = 90.00°, γ = 90.00°
Fractional coordinates of all 8 atoms:
Lu 0.000 0.141 0.250
Lu 0.000 0.859 0.750
Lu 0.500 0.359 0.750
Lu 0.500 0.641 0.250
Si 0.000 0.422 0.250
Si 0.000 0.578 0.750
Si 0.500 0.078 0.750
Si 0.500 0.922 0.250

The 8 most intense peaks (2θ = 5–70°), sorted by position:
2theta	I/Imax
23.03	398
29.37	668
33.22	1000
33.82	530
34.82	296
41.66	296
53.31	277
55.39	240

=====

Starting from a DFT-relaxed cell (GGA-PBE, the Materials Project), the X-ray powder pattern of Zn3SiNi2 was calculated for λ = 1.5418 Å (Cu Kα).

Structural model:
a = 7.571 Å, b = 7.571 Å, c = 7.571 Å
α = 60.00°, β = 60.00°, γ = 60.00°
Fractional coordinates of all 24 atoms:
Zn 0.062 0.062 0.688
Zn 0.062 0.688 0.062
Zn 0.062 0.688 0.688
Zn 0.312 0.312 0.938
Zn 0.312 0.938 0.312
Zn 0.312 0.938 0.938
Zn 0.688 0.062 0.062
Zn 0.688 0.062 0.688
Zn 0.688 0.688 0.062
Zn 0.938 0.312 0.312
Zn 0.938 0.312 0.938
Zn 0.938 0.938 0.312
Si 0.000 0.500 0.500
Si 0.500 0.000 0.500
Si 0.500 0.500 0.000
Si 0.500 0.500 0.500
Ni 0.289 0.289 0.289
Ni 0.289 0.289 0.632
Ni 0.289 0.632 0.289
Ni 0.368 0.711 0.711
Ni 0.632 0.289 0.289
Ni 0.711 0.368 0.711
Ni 0.711 0.711 0.368
Ni 0.711 0.711 0.711

The 8 most intense peaks (2θ = 5–70°), sorted by position:
2theta	I/Imax
28.89	86
36.58	65
41.31	367
43.94	1000
48.07	160
51.19	88
61.89	56
67.16	56

=====

Starting from a DFT-relaxed cell (GGA-PBE, the Materials Project), the X-ray powder pattern of NaLaSe2O6 was calculated for λ = 1.5418 Å (Cu Kα).

Structural model:
a = 6.766 Å, b = 6.857 Å, c = 13.790 Å
α = 90.00°, β = 107.62°, γ = 90.00°
Fractional coordinates of all 40 atoms:
Na 0.075 0.167 0.383
Na 0.075 0.333 0.883
Na 0.925 0.667 0.117
Na 0.925 0.833 0.617
La 0.491 0.622 0.836
La 0.491 0.878 0.336
La 0.509 0.122 0.664
La 0.509 0.378 0.164
Se 0.034 0.165 0.139
Se 0.034 0.335 0.639
Se 0.378 0.648 0.569
Se 0.378 0.852 0.069
Se 0.622 0.148 0.931
Se 0.622 0.352 0.431
Se 0.966 0.665 0.361
Se 0.966 0.835 0.861
O 0.123 0.664 0.830
O 0.123 0.836 0.330
O 0.136 0.205 0.558
O 0.136 0.295 0.058
O 0.252 0.170 0.245
O 0.252 0.330 0.745
O 0.306 0.717 0.161
O 0.306 0.783 0.661
O 0.452 0.516 0.355
O 0.452 0.984 0.855
O 0.468 0.181 0.465
O 0.468 0.319 0.965
O 0.532 0.681 0.035
O 0.532 0.819 0.535
O 0.548 0.016 0.145
O 0.548 0.484 0.645
O 0.694 0.217 0.339
O 0.694 0.283 0.839
O 0.748 0.670 0.255
O 0.748 0.830 0.755
O 0.864 0.705 0.942
O 0.864 0.795 0.442
O 0.877 0.164 0.670
O 0.877 0.336 0.170

The 8 most intense peaks (2θ = 5–70°), sorted by position:
2theta	I/Imax
13.73	702
18.67	650
27.14	420
27.67	553
29.32	1000
30.16	502
32.49	398
42.22	405

=====

Starting from a DFT-relaxed cell (GGA-PBE, the Materials Project), the X-ray powder pattern of LiEuO2 was calculated for λ = 1.5418 Å (Cu Kα).

Structural model:
a = 11.480 Å, b = 3.483 Å, c = 5.413 Å
α = 90.00°, β = 90.00°, γ = 90.00°
Fractional coordinates of all 16 atoms:
Li 0.066 0.250 0.096
Li 0.434 0.750 0.596
Li 0.566 0.250 0.404
Li 0.934 0.750 0.904
Eu 0.139 0.750 0.542
Eu 0.361 0.250 0.042
Eu 0.639 0.750 0.958
Eu 0.861 0.250 0.458
O 0.025 0.250 0.746
O 0.202 0.250 0.300
O 0.298 0.750 0.800
O 0.475 0.750 0.246
O 0.525 0.250 0.754
O 0.702 0.250 0.200
O 0.798 0.750 0.700
O 0.975 0.750 0.254

The 8 most intense peaks (2θ = 5–70°), sorted by position:
2theta	I/Imax
18.12	1000
28.57	713
30.01	605
31.16	241
31.52	746
38.71	223
45.28	444
50.51	317

=====

Starting from a DFT-relaxed cell (GGA-PBE, the Materials Project), the X-ray powder pattern of Tb3SbO7 was calculated for λ = 1.5418 Å (Cu Kα).

Structural model:
a = 6.505 Å, b = 6.505 Å, c = 7.558 Å
α = 90.00°, β = 90.00°, γ = 109.33°
Fractional coordinates of all 22 atoms:
Tb 0.000 0.000 0.000
Tb 0.000 0.000 0.500
Tb 0.032 0.500 0.750
Tb 0.500 0.032 0.250
Tb 0.500 0.968 0.750
Tb 0.968 0.500 0.250
Sb 0.500 0.500 0.000
Sb 0.500 0.500 0.500
O 0.130 0.870 0.250
O 0.137 0.863 0.750
O 0.179 0.428 0.029
O 0.179 0.428 0.471
O 0.428 0.179 0.529
O 0.428 0.179 0.971
O 0.431 0.569 0.750
O 0.569 0.431 0.250
O 0.572 0.821 0.029
O 0.572 0.821 0.471
O 0.821 0.572 0.529
O 0.821 0.572 0.971
O 0.863 0.137 0.250
O 0.870 0.130 0.750

The 8 most intense peaks (2θ = 5–70°), sorted by position:
2theta	I/Imax
29.05	1000
33.61	237
33.78	107
48.16	85
48.40	362
57.26	150
57.41	133
57.55	123